This entry pairs a crystal structure of K8Li9Mn4O16 with its computed X-ray powder pattern. Radiation: Cu Ka. Structure: a DFT-relaxed cell (GGA+U, Alexandria).
Kinematic intensities with the Lorentz-polarization factor, no thermal factor.

Structure:
```
K8Li9Mn4O16
1.0
5.6185 0.0000 0.0000
0.1337 8.6942 0.0000
2.1780 0.3104 10.5955
K Li Mn O
8 9 4 16
Direct
0.0000 0.0000 0.0000
0.0025 0.7385 0.4488
0.2680 0.4284 0.2017
0.2794 0.7219 0.7619
0.4699 0.2336 0.9439
0.5139 0.9360 0.5052
0.7386 0.5115 0.6974
0.8103 0.1803 0.2565
0.0363 0.2776 0.8037
0.2450 0.1815 0.4065
0.3295 0.7029 0.0325
0.4391 0.2121 0.6725
0.5225 0.6749 0.2980
0.7322 0.4540 0.3942
0.7327 0.7667 0.9028
0.8345 0.2347 0.5327
0.9276 0.7267 0.1755
0.2953 0.4318 0.5342
0.4275 0.9264 0.1760
0.8327 0.5071 0.0318
0.9355 0.0185 0.6852
0.0072 0.0310 0.5141
0.0433 0.3941 0.4399
0.1877 0.0650 0.7562
0.2546 0.7428 0.2122
0.2787 0.4183 0.7078
0.3386 0.1195 0.2262
0.4773 0.6169 0.4768
0.4919 0.9091 0.0076
0.5171 0.2536 0.4831
0.5836 0.5596 0.9568
0.6852 0.8813 0.2488
0.7663 0.5126 0.2070
0.7674 0.2027 0.7216
0.8289 0.8204 0.7156
0.9471 0.3133 0.0026
0.9994 0.6908 0.9903
```

Largest 10 diffraction maxima, sorted by position, 2θ from 10° to 90°:
d/Å, 2θ/deg, I_rel, (hkl)
5.298, 16.73, 30.1, 0 0 2
4.015, 22.14, 100.0, -1 1 1
3.410, 26.13, 30.8, 0 2 2
3.312, 26.92, 38.2, 0 2 -2
2.733, 32.76, 47.4, 1 0 -3
2.669, 33.58, 97.9, 2 0 2
2.649, 33.83, 87.1, 0 0 4
2.630, 34.09, 27.2, 2 1 0
2.618, 34.24, 29.0, 2 -1 0
2.572, 34.88, 65.3, 1 3 0